# LiBP
Simulated X-ray powder pattern, a wavelength of 1.5418 Å. Input: a cell relaxed with PBE.
Neutral-atom scattering factors, no anomalous dispersion.

Peak list (10 most intense, 15 to 90 degrees two-theta, by angle)
2θ/deg	I/Imax
23.81	100
25.79	41
28.77	20
34.23	38
35.38	60
42.12	67
48.72	18
54.71	23
60.48	19
76.26	17

Atomic structure:
```
data_LiBP
_space_group_name_H-M_alt 'A m m 2'
_space_group_IT_number 38
_space_group_name_Hall 'A 2 -2'
_cell_length_a 3.738
_cell_length_b 3.185
_cell_length_c 13.818
_cell_angle_alpha 90.00
_cell_angle_beta 90.00
_cell_angle_gamma 90.00
loop_
_atom_site_label
_atom_site_type_symbol
_atom_site_fract_x
_atom_site_fract_y
_atom_site_fract_z
Li1 Li 0.000 0.000 0.000
Li2 Li 0.000 0.000 0.274
B1 B 0.500 0.000 0.436
B2 B 0.500 0.000 0.560
P1 P 0.500 0.000 0.134
P2 P 0.500 0.000 0.861
```



# SrCaGeAs2
Simulated X-ray powder pattern, a wavelength of 1.5418 Å. Input: a cell relaxed with PBE.
Neutral-atom scattering factors, no anomalous dispersion.

Peak list (10 most intense, 15 to 90 degrees two-theta, by angle)
2θ/deg	I/Imax
27.05	97
28.17	39
28.55	25
30.38	24
33.40	100
38.76	56
39.23	54
40.77	35
41.31	32
43.67	26

Atomic structure:
```
data_SrCaGeAs2
_space_group_name_H-M_alt 'P 1 2/c 1'
_space_group_IT_number 13
_space_group_name_Hall '-P 2yc'
_cell_length_a 7.501
_cell_length_b 5.839
_cell_length_c 6.594
_cell_angle_alpha 90.00
_cell_angle_beta 114.95
_cell_angle_gamma 90.00
loop_
_atom_site_label
_atom_site_type_symbol
_atom_site_fract_x
_atom_site_fract_y
_atom_site_fract_z
Sr1 Sr 0.000 0.227 0.250
Ca1 Ca 0.500 0.496 0.750
Ge1 Ge 0.500 0.000 0.000
As1 As 0.188 0.272 0.854
```



# Pm2TmAg3
Simulated X-ray powder pattern, a wavelength of 1.5418 Å. Input: a cell relaxed with PBE.
Neutral-atom scattering factors, no anomalous dispersion.

Peak list (10 most intense, 15 to 90 degrees two-theta, by angle)
2θ/deg	I/Imax
34.33	100
34.74	50
48.72	9
49.94	17
61.22	17
62.01	35
72.35	10
81.65	7
83.52	8
83.75	8

Atomic structure:
```
data_Pm2TmAg3
_space_group_name_H-M_alt 'P 4/m m m'
_space_group_IT_number 123
_space_group_name_Hall '-P 4 2'
_cell_length_a 3.652
_cell_length_b 3.652
_cell_length_c 11.214
_cell_angle_alpha 90.00
_cell_angle_beta 90.00
_cell_angle_gamma 90.00
loop_
_atom_site_label
_atom_site_type_symbol
_atom_site_fract_x
_atom_site_fract_y
_atom_site_fract_z
Pm1 Pm 0.000 0.000 0.172
Tm1 Tm 0.000 0.000 0.500
Ag1 Ag 0.500 0.500 0.000
Ag2 Ag 0.500 0.500 0.348
```



# HgOsBrO4
Simulated X-ray powder pattern, a wavelength of 1.5418 Å. Input: a cell relaxed with PBE.
Neutral-atom scattering factors, no anomalous dispersion.

Peak list (10 most intense, 15 to 90 degrees two-theta, by angle)
2θ/deg	I/Imax
18.25	18
20.04	100
22.64	22
22.99	41
23.40	27
29.47	33
30.71	52
33.00	29
36.98	21
48.36	21

Atomic structure:
```
data_HgOsBrO4
_space_group_name_H-M_alt 'C 1 2/m 1'
_space_group_IT_number 12
_space_group_name_Hall '-C 2y'
_cell_length_a 9.833
_cell_length_b 8.860
_cell_length_c 8.667
_cell_angle_alpha 90.00
_cell_angle_beta 101.59
_cell_angle_gamma 90.00
loop_
_atom_site_label
_atom_site_type_symbol
_atom_site_fract_x
_atom_site_fract_y
_atom_site_fract_z
Hg1 Hg 0.192 0.000 0.039
Os1 Os 0.102 0.500 0.243
Br1 Br 0.016 0.000 0.236
O1 O 0.079 0.500 0.775
O2 O 0.156 0.350 0.136
O3 O 0.193 0.500 0.434
```



# BeVMo
Simulated X-ray powder pattern, a wavelength of 1.5418 Å. Input: a cell relaxed with PBE.
Neutral-atom scattering factors, no anomalous dispersion.

Peak list (10 most intense, 15 to 90 degrees two-theta, by angle)
2θ/deg	I/Imax
16.55	63
31.39	60
35.20	70
40.65	100
41.65	86
42.36	29
43.89	22
45.53	32
49.52	20
56.95	20

Atomic structure:
```
data_BeVMo
_space_group_name_H-M_alt 'C 1 2/m 1'
_space_group_IT_number 12
_space_group_name_Hall '-C 2y'
_cell_length_a 8.774
_cell_length_b 3.234
_cell_length_c 6.193
_cell_angle_alpha 90.00
_cell_angle_beta 120.15
_cell_angle_gamma 90.00
loop_
_atom_site_label
_atom_site_type_symbol
_atom_site_fract_x
_atom_site_fract_y
_atom_site_fract_z
Be1 Be 0.120 0.000 0.145
V1 V 0.088 0.500 0.838
Mo1 Mo 0.178 0.000 0.590
```



# Ti5Be2Sn
Simulated X-ray powder pattern, a wavelength of 1.5418 Å. Input: a cell relaxed with PBE.
Neutral-atom scattering factors, no anomalous dispersion.

Peak list (10 most intense, 15 to 90 degrees two-theta, by angle)
2θ/deg	I/Imax
19.02	63
24.26	31
31.23	48
35.85	100
38.03	61
38.59	39
40.89	96
43.36	95
68.04	36
79.17	28

Atomic structure:
```
data_Ti5Be2Sn
_space_group_name_H-M_alt 'I 4/m c m'
_space_group_IT_number 140
_space_group_name_Hall '-I 4 2c'
_cell_length_a 6.599
_cell_length_b 6.599
_cell_length_c 11.877
_cell_angle_alpha 90.00
_cell_angle_beta 90.00
_cell_angle_gamma 90.00
loop_
_atom_site_label
_atom_site_type_symbol
_atom_site_fract_x
_atom_site_fract_y
_atom_site_fract_z
Ti1 Ti 0.000 0.000 0.000
Ti2 Ti 0.162 0.338 0.136
Be1 Be 0.125 0.375 0.500
Sn1 Sn 0.000 0.000 0.250
```